[1]
Diffraction record for Li6CrS4. The powder XRD pattern is calculated, not measured: it uses a cell relaxed with GGA-PBE and λ = 1.5418 Å (Cu Kα).

Cell and atoms:
Cell lengths 8.1632, 8.1632, 5.6356 Å; angles 90.00, 90.00, 90.00 degrees
Fractional positions:
Li: 0.0266 0.5266 0.2500
Li: 0.0266 0.9734 0.2500
Li: 0.2500 0.2500 0.1988
Li: 0.2500 0.2500 0.6988
Li: 0.4734 0.5266 0.2500
Li: 0.4734 0.9734 0.2500
Li: 0.5266 0.0266 0.7500
Li: 0.5266 0.4734 0.7500
Li: 0.7500 0.7500 0.3012
Li: 0.7500 0.7500 0.8012
Li: 0.9734 0.0266 0.7500
Li: 0.9734 0.4734 0.7500
Cr: 0.2500 0.7500 0.7500
Cr: 0.7500 0.2500 0.2500
S: 0.0095 0.2500 0.4500
S: 0.2500 0.0095 0.9500
S: 0.2500 0.4905 0.9500
S: 0.4905 0.2500 0.4500
S: 0.5095 0.7500 0.5500
S: 0.7500 0.5095 0.0500
S: 0.7500 0.9905 0.0500
S: 0.9905 0.7500 0.5500

Peak list (10 most intense, 5 to 70 degrees two-theta, in order of falling intensity)
2θ = 26.97°, rel. 100; 2θ = 19.14°, rel. 72; 2θ = 44.96°, rel. 47; 2θ = 44.39°, rel. 31; 2θ = 52.71°, rel. 24; 2θ = 36.67°, rel. 20; 2θ = 54.97°, rel. 18; 2θ = 15.35°, rel. 15; 2θ = 29.15°, rel. 12; 2θ = 21.77°, rel. 11

=====

[2]
Diffraction record for Li4CrS4. The powder XRD pattern is calculated, not measured: it uses a cell relaxed with GGA-PBE and λ = 1.5418 Å (Cu Kα).

Cell and atoms:
Cell lengths 14.2003, 7.7569, 6.1118 Å; angles 90.00, 90.00, 90.00 degrees
Fractional positions:
Li: 0.0000 0.0000 0.0000
Li: 0.0000 0.5000 0.0000
Li: 0.0864 0.2500 0.3696
Li: 0.1777 0.0015 0.8031
Li: 0.1777 0.4985 0.8031
Li: 0.3223 0.5015 0.3031
Li: 0.3223 0.9985 0.3031
Li: 0.4136 0.7500 0.8696
Li: 0.5000 0.0000 0.5000
Li: 0.5000 0.5000 0.5000
Li: 0.5864 0.2500 0.1304
Li: 0.6777 0.0015 0.6969
Li: 0.6777 0.4985 0.6969
Li: 0.8223 0.5015 0.1969
Li: 0.8223 0.9985 0.1969
Li: 0.9136 0.7500 0.6304
Cr: 0.0874 0.7500 0.3478
Cr: 0.4126 0.2500 0.8478
Cr: 0.5874 0.7500 0.1522
Cr: 0.9126 0.2500 0.6522
S: 0.0605 0.2500 0.7671
S: 0.0837 0.7500 0.7056
S: 0.1555 0.5165 0.2187
S: 0.1555 0.9835 0.2187
S: 0.3445 0.0165 0.7187
S: 0.3445 0.4835 0.7187
S: 0.4163 0.2500 0.2056
S: 0.4395 0.7500 0.2671
S: 0.5605 0.2500 0.7329
S: 0.5837 0.7500 0.7944
S: 0.6555 0.5165 0.2813
S: 0.6555 0.9835 0.2813
S: 0.8445 0.0165 0.7813
S: 0.8445 0.4835 0.7813
S: 0.9163 0.2500 0.2944
S: 0.9395 0.7500 0.2329

Peak list (10 most intense, 5 to 70 degrees two-theta, in order of falling intensity)
2θ = 16.93°, rel. 100; 2θ = 26.18°, rel. 97; 2θ = 29.22°, rel. 84; 2θ = 44.87°, rel. 81; 2θ = 18.48°, rel. 61; 2θ = 12.47°, rel. 58; 2θ = 25.08°, rel. 57; 2θ = 30.05°, rel. 54; 2θ = 19.16°, rel. 48; 2θ = 54.44°, rel. 44

=====

[3]
Diffraction record for LiCrS2. The powder XRD pattern is calculated, not measured: it uses a cell relaxed with GGA-PBE and λ = 1.5418 Å (Cu Kα).

Cell and atoms:
Cell lengths 3.5082, 3.5082, 5.9793 Å; angles 90.00, 90.00, 120.00 degrees
Fractional positions:
Li: 0.0000 0.0000 0.0000
Cr: 0.0000 0.0000 0.5000
S: 0.3333 0.6667 0.2784
S: 0.6667 0.3333 0.7216

Peak list (10 most intense, 5 to 70 degrees two-theta, in order of falling intensity)
2θ = 33.07°, rel. 100; 2θ = 14.82°, rel. 92; 2θ = 42.42°, rel. 79; 2θ = 52.14°, rel. 37; 2θ = 55.11°, rel. 26; 2θ = 69.40°, rel. 16; 2θ = 54.52°, rel. 15; 2θ = 63.15°, rel. 13; 2θ = 29.40°, rel. 9; 2θ = 62.09°, rel. 5

=====

[4]
Diffraction record for Li2VCrS4. The powder XRD pattern is calculated, not measured: it uses a cell relaxed with GGA-PBE and λ = 1.5418 Å (Cu Kα).

Cell and atoms:
Cell lengths 6.9197, 6.9197, 6.1420 Å; angles 116.03, 116.03, 28.99 degrees
Fractional positions:
Li: 0.2501 0.2501 0.2495
Li: 0.7499 0.7499 0.7505
V: 0.0000 0.0000 0.0000
Cr: 0.5000 0.5000 0.5000
S: 0.1120 0.1120 0.7766
S: 0.3873 0.3873 0.7172
S: 0.6127 0.6127 0.2828
S: 0.8880 0.8880 0.2234

Peak list (10 most intense, 5 to 70 degrees two-theta, in order of falling intensity)
2θ = 14.83°, rel. 100; 2θ = 33.23°, rel. 78; 2θ = 42.53°, rel. 42; 2θ = 32.87°, rel. 39; 2θ = 51.87°, rel. 29; 2θ = 42.34°, rel. 21; 2θ = 55.36°, rel. 20; 2θ = 42.66°, rel. 18; 2θ = 52.85°, rel. 14; 2θ = 54.81°, rel. 10